Record 1
The following is a calculated powder X-ray diffraction pattern of CaSi2Se. It was derived from a structure optimized by DFT (PBE), using copper Kα.

Crystal structure
Cell lengths 4.150, 4.284, 9.964 Å; angles 90.00, 93.15, 90.00 degrees
Element x y z (fractional)
Ca 0.249 0.250 0.152
Ca 0.751 0.750 0.848
Si 0.086 0.750 0.391
Si 0.337 0.250 0.457
Si 0.663 0.750 0.543
Si 0.914 0.250 0.609
Se 0.250 0.250 0.850
Se 0.750 0.750 0.150

Most intense lines, 2θ = 10–80°, low angle first:
hkl  2θ/deg  intensity
0 0 3  26.9  58
1 1 0  30.0  100
1 1 -1  31.0  32
0 0 4  36.1  21
1 1 -3  39.9  30
1 1 3  41.5  68
0 2 0  42.2  35
0 2 3  50.7  19

=====

Record 2
The following is a calculated powder X-ray diffraction pattern of PaCd. It was derived from a structure optimized by DFT (PBE), using copper Kα.

Crystal structure
Cell lengths 3.603, 4.013, 6.791 Å; angles 90.00, 93.23, 90.00 degrees
Element x y z (fractional)
Pa 0.195 0.250 0.092
Pa 0.805 0.750 0.908
Cd 0.269 0.250 0.609
Cd 0.731 0.750 0.391

Most intense lines, 2θ = 10–80°, low angle first:
hkl  2θ/deg  intensity
0 0 1  13.1  41
1 1 0  33.5  100
0 1 2  34.6  87
1 0 -2  35.3  45
1 0 2  37.5  27
0 2 0  45.2  24
1 2 -2  58.6  24
2 1 -2  61.5  17